TlCo6P4: theoretical powder X-ray diffraction pattern (Cu Ka), based on a structure optimized by DFT (PBE).
Peak positions follow from Bragg's law for the DFT cell and can differ from measured ones.

Structure:
Cell: 6.6780 6.6780 3.3728 Å, 90.00 90.00 120.00°
Space group P-6m2 (No. 187)
Asymmetric unit:
Tl  0.0000  0.0000  0.0000 (multiplicity 1)
Co  0.0699  0.5349  0.0000 (multiplicity 3)
Co  0.3969  0.1984  0.5000 (multiplicity 3)
P  0.1953  0.3906  0.5000 (multiplicity 3)
P  0.6667  0.3333  0.0000 (multiplicity 1)

Main lines, low angle first (15 to 90 degrees two-theta):
h k l  2θ/deg  I (rel.)
1 0 0  15.3  27
1 0 1  30.7  22
2 0 0  30.9  23
1 1 1  37.9  38
2 0 1  41.1  100
2 1 0  41.3  41
2 2 0  55.0  23
2 1 2  70.5  17